Record 1
The following is a calculated powder diffractogram of Pm2Pr6Ho3. It was derived from the GGA-PBE geometry in Alexandria, using CuKα.
Kinematic intensities with the Lorentz-polarization factor, no thermal factor.

Top 12 peaks for 15 to 90 degrees two-theta, sorted by position:
| hkl | Position (°2θ) | d/Å | I (rel.) |
| --- | --- | --- | --- |
| 1 1 4 | 28.29 | 3.155 | 100 |
| 0 0 12 | 31.07 | 2.879 | 22 |
| 1 1 8 | 33.61 | 2.666 | 64 |
| 1 0 11 | 34.13 | 2.627 | 30 |
| 2 0 0 | 37.53 | 2.397 | 58 |
| 2 0 10 | 46.13 | 1.968 | 14 |
| 2 0 12 | 49.49 | 1.842 | 24 |
| 2 1 11 | 51.63 | 1.770 | 19 |
| 2 2 0 | 54.12 | 1.695 | 20 |
| 1 1 20 | 60.13 | 1.539 | 18 |
| 3 1 4 | 62.18 | 1.493 | 22 |
| 3 1 8 | 65.24 | 1.430 | 19 |

Crystal structure
```
data_Pm2Pr6Ho3
_chemical_formula_sum 'Pm4 Pr12 Ho6'
_space_group_name_H-M_alt 'I 4/m m m'
_space_group_IT_number 139
_space_group_name_Hall '-I 4 2'
_cell_length_a 4.7933
_cell_length_b 4.7933
_cell_length_c 34.5433
_cell_angle_alpha 90.00
_cell_angle_beta 90.00
_cell_angle_gamma 90.00
loop_
_atom_site_label
_atom_site_fract_x
_atom_site_fract_y
_atom_site_fract_z
Pm1 0.0000 0.0000 0.0447
Pr1 0.0000 0.0000 0.2071
Pr2 0.0000 0.5000 0.1209
Ho1 0.0000 0.0000 0.3064
Ho2 0.0000 0.0000 0.5000
```


Record 2
The following is a calculated powder diffractogram of K2NaCdP2. It was derived from the GGA-PBE geometry in Alexandria, using CuKα.
Kinematic intensities with the Lorentz-polarization factor, no thermal factor.

Top 12 peaks for 15 to 90 degrees two-theta, sorted by position:
| hkl | Position (°2θ) | d/Å | I (rel.) |
| --- | --- | --- | --- |
| 1 3 0 | 21.97 | 4.046 | 46 |
| 2 2 0 | 29.40 | 3.038 | 82 |
| 0 2 2 | 29.69 | 3.009 | 79 |
| 1 4 1 | 30.20 | 2.959 | 66 |
| 1 1 2 | 31.05 | 2.880 | 33 |
| 1 3 2 | 35.29 | 2.544 | 28 |
| 2 4 0 | 35.85 | 2.505 | 73 |
| 0 4 2 | 36.09 | 2.488 | 73 |
| 2 0 2 | 38.71 | 2.326 | 100 |
| 2 2 2 | 40.53 | 2.226 | 27 |
| 2 6 2 | 53.23 | 1.721 | 36 |
| 4 0 0 | 55.55 | 1.654 | 29 |

Crystal structure
```
data_K2NaCdP2
_chemical_formula_sum 'K8 Na4 Cd4 P8'
_space_group_name_H-M_alt 'I b a m'
_space_group_IT_number 72
_space_group_name_Hall '-I 2 2c'
_cell_length_a 6.6175
_cell_length_b 15.3386
_cell_length_c 6.5413
_cell_angle_alpha 90.00
_cell_angle_beta 90.00
_cell_angle_gamma 90.00
loop_
_atom_site_label
_atom_site_fract_x
_atom_site_fract_y
_atom_site_fract_z
K1 0.2446 0.1758 0.0000
Na1 0.0000 0.0000 0.2500
Cd1 0.0000 0.5000 0.2500
P1 0.2224 0.3981 0.0000
```


Record 3
The following is a calculated powder diffractogram of AcSmDy2As4. It was derived from the GGA-PBE geometry in Alexandria, using CuKα.
Kinematic intensities with the Lorentz-polarization factor, no thermal factor.

Top 12 peaks for 15 to 90 degrees two-theta, sorted by position:
| hkl | Position (°2θ) | d/Å | I (rel.) |
| --- | --- | --- | --- |
| 2 0 0 | 25.63 | 3.476 | 28 |
| 1 1 1 | 29.68 | 3.010 | 100 |
| 2 0 1 | 32.41 | 2.762 | 2 |
| 0 2 0 | 42.47 | 2.128 | 75 |
| 3 1 1 | 50.27 | 1.815 | 15 |
| 2 2 -2 | 52.67 | 1.738 | 27 |
| 2 2 2 | 61.63 | 1.505 | 12 |
| 4 0 2 | 67.87 | 1.381 | 6 |
| 1 3 1 | 69.88 | 1.346 | 34 |
| 1 3 -3 | 77.71 | 1.229 | 23 |
| 6 0 -2 | 77.77 | 1.228 | 2 |
| 6 0 0 | 83.42 | 1.159 | 4 |

Crystal structure
```
data_AcSmDy2As4
_chemical_formula_sum 'Ac1 Sm1 Dy2 As4'
_space_group_name_H-M_alt 'P 1 2/m 1'
_space_group_IT_number 10
_space_group_name_Hall '-P 2y'
_cell_length_a 7.3686
_cell_length_b 4.2566
_cell_length_c 7.3739
_cell_angle_alpha 90.00
_cell_angle_beta 109.41
_cell_angle_gamma 90.00
loop_
_atom_site_label
_atom_site_fract_x
_atom_site_fract_y
_atom_site_fract_z
Ac1 0.0000 0.0000 0.0000
Sm1 0.0000 0.5000 0.5000
Dy1 0.5000 0.0000 0.5000
Dy2 0.5000 0.5000 0.0000
As1 0.2615 0.0000 0.7463
As2 0.2677 0.5000 0.2637
```